For ZnH, the GGA-PBE geometry in the Materials Project gives the theoretical powder diffractogram in this record (copper Kα).
Neutral-atom scattering factors, no anomalous dispersion.

Peak list (10 most intense, 15 to 90 degrees two-theta, by angle)
Position (°2θ), I_rel
27.08, 66
38.61, 21
41.06, 100
47.79, 21
55.83, 9
57.67, 35
69.89, 19
76.43, 19
84.36, 11
84.47, 11

Cell and atoms:
```
4
Lattice="2.6926 0.0000 0.0000 -1.3463 2.3319 0.0000 0.0000 0.0000 6.5865" Properties=species:S:1:pos:R:3 pbc="T T T"
Zn 0.0000 1.5546 0.0000
Zn 1.3463 0.7773 3.2932
H 0.0000 1.5546 4.7932
H 1.3463 0.7773 1.5000
```

For MgFeN, the GGA-PBE geometry in the Materials Project gives the theoretical powder diffractogram in this record (copper Kα).
Neutral-atom scattering factors, no anomalous dispersion.

Peak list (10 most intense, 15 to 90 degrees two-theta, by angle)
Position (°2θ), I_rel
19.66, 100
23.20, 75
34.16, 32
34.58, 35
38.25, 50
38.74, 45
42.97, 82
50.32, 27
51.92, 31
75.25, 27

Cell and atoms:
```
12
Lattice="7.6688 0.0000 0.0000 0.0000 3.5221 0.0000 0.0000 0.0000 5.5874" Properties=species:S:1:pos:R:3 pbc="T T T"
Mg 1.3752 0.8805 0.4722
Mg 2.4593 2.6416 3.2658
Mg 5.2096 0.8805 2.3215
Mg 6.2937 2.6416 5.1152
Fe 0.2960 0.8805 3.5711
Fe 3.5384 2.6416 0.7774
Fe 4.1304 0.8805 4.8099
Fe 7.3728 2.6416 2.0162
N 0.3879 2.6416 3.8931
N 3.4466 0.8805 1.0994
N 4.2223 2.6416 4.4880
N 7.2810 0.8805 1.6943
```

For PmDyTl2, the GGA-PBE geometry in the Materials Project gives the theoretical powder diffractogram in this record (copper Kα).
Neutral-atom scattering factors, no anomalous dispersion.

Peak list (9 most intense, 15 to 90 degrees two-theta, by angle)
Position (°2θ), I_rel
23.15, 2
32.97, 100
40.67, 1
47.32, 18
53.32, 1
58.88, 39
69.16, 12
78.77, 17
88.07, 4

Cell and atoms:
```
16
Lattice="7.6841 0.0000 0.0000 0.0000 7.6841 0.0000 0.0000 0.0000 7.6841" Properties=species:S:1:pos:R:3 pbc="T T T"
Pm 0.0000 0.0000 0.0000
Pm 0.0000 3.8420 3.8420
Pm 3.8420 0.0000 3.8420
Pm 3.8420 3.8420 0.0000
Dy 0.0000 0.0000 3.8420
Dy 0.0000 3.8420 0.0000
Dy 3.8420 0.0000 0.0000
Dy 3.8420 3.8420 3.8420
Tl 1.9210 1.9210 1.9210
Tl 1.9210 1.9210 5.7631
Tl 1.9210 5.7631 1.9210
Tl 1.9210 5.7631 5.7631
Tl 5.7631 1.9210 1.9210
Tl 5.7631 1.9210 5.7631
Tl 5.7631 5.7631 1.9210
Tl 5.7631 5.7631 5.7631
```

For LuHO2, the GGA-PBE geometry in the Materials Project gives the theoretical powder diffractogram in this record (copper Kα).
Neutral-atom scattering factors, no anomalous dispersion.

Peak list (10 most intense, 15 to 90 degrees two-theta, by angle)
Position (°2θ), I_rel
16.16, 37
22.22, 29
22.70, 45
29.88, 100
31.79, 50
32.83, 33
33.66, 39
34.00, 54
41.54, 35
53.01, 28

Cell and atoms:
```
8
Lattice="4.2466 0.0000 0.0000 0.0000 3.5666 0.0000 -1.9490 0.0000 5.4843" Properties=species:S:1:pos:R:3 pbc="T T T"
Lu 0.0973 0.0000 1.7142
Lu 2.2003 1.7833 3.7702
H 1.8609 1.9985 0.5041
H 0.4367 0.2152 4.9802
O 0.9234 1.7688 0.3552
O 0.0575 1.7869 3.0464
O 2.2401 0.0036 2.4379
O 1.3742 3.5521 5.1291
```